(1)
For La3TlTe, a crystal structure in Alexandria, relaxed with PBE gives the computed powder X-ray diffraction pattern in this record (Cu Kα, 1.54184 Å).
Peak positions follow from Bragg's law for the DFT cell and can differ from measured ones.

The 10 most intense peaks (5° ≤ 2θ ≤ 70°), in order of falling intensity:
2θ = 32.6°, 2.745 Å, I 100, (1 1 0); 2θ = 28.1°, 3.173 Å, I 91, (1 0 3); 2θ = 43.6°, 2.076 Å, I 28, (2 0 3); 2θ = 55.5°, 1.656 Å, I 28, (2 1 3); 2θ = 58.2°, 1.585 Å, I 23, (3 0 0); 2θ = 54.5°, 1.683 Å, I 20, (1 1 6); 2θ = 33.8°, 2.652 Å, I 20, (1 0 4); 2θ = 68.3°, 1.373 Å, I 16, (2 2 0); 2θ = 43.5°, 2.082 Å, I 15, (1 1 4); 2θ = 27.9°, 3.195 Å, I 8, (0 0 4)

Structural model:
Cell lengths 5.4908, 5.4908, 12.7820 Å; angles 90.00, 90.00, 120.00 degrees
Space group P6_3/mmc (No. 194)
One atom of each set of equivalent atoms:
La1 0.0000 0.0000 0.2500 x2
La2 0.3333 0.6667 0.0882 x4
Tl1 0.3333 0.6667 0.7500 x2
Te1 0.0000 0.0000 0.0000 x2

***

(2)
For UAl10Tc2, a crystal structure in Alexandria, relaxed with PBE gives the computed powder X-ray diffraction pattern in this record (Cu Kα, 1.54184 Å).
Peak positions follow from Bragg's law for the DFT cell and can differ from measured ones.

The 10 most intense peaks (5° ≤ 2θ ≤ 70°), in order of falling intensity:
2θ = 27.7°, 3.223 Å, I 100, (2 0 2); 2θ = 39.6°, 2.275 Å, I 87, (2 2 3); 2θ = 16.2°, 5.471 Å, I 79, (1 1 1); 2θ = 40.0°, 2.252 Å, I 76, (0 4 2); 2θ = 13.0°, 6.819 Å, I 70, (1 1 0); 2θ = 40.1°, 2.246 Å, I 69, (2 4 0); 2θ = 27.9°, 3.195 Å, I 65, (2 2 1); 2θ = 34.1°, 2.632 Å, I 63, (0 2 3); 2θ = 19.7°, 4.504 Å, I 51, (0 2 1); 2θ = 39.8°, 2.267 Å, I 47, (4 0 0)

Structural model:
Cell lengths 9.0696, 10.3423, 9.1636 Å; angles 90.00, 90.00, 90.00 degrees
Space group Cmcm (No. 63)
One atom of each set of equivalent atoms:
U1 0.0000 0.1260 0.2500 x4
Al1 0.0000 0.1536 0.5993 x8
Al2 0.0000 0.3761 0.0446 x8
Al3 0.1537 0.3702 0.7500 x8
Al4 0.2244 0.0000 0.0000 x8
Al5 0.2275 0.3663 0.2500 x8
Tc1 0.2500 0.2500 0.0000 x8

***

(3)
For KCeCO5, a crystal structure in Alexandria, relaxed with PBE gives the computed powder X-ray diffraction pattern in this record (Cu Kα, 1.54184 Å).
Peak positions follow from Bragg's law for the DFT cell and can differ from measured ones.

The 10 most intense peaks (5° ≤ 2θ ≤ 70°), in order of falling intensity:
2θ = 16.7°, 5.308 Å, I 100, (1 1 0); 2θ = 24.6°, 3.617 Å, I 92, (1 1 -2); 2θ = 31.8°, 2.815 Å, I 53, (1 3 0); 2θ = 27.7°, 3.217 Å, I 52, (2 0 0); 2θ = 31.4°, 2.849 Å, I 39, (0 2 2); 2θ = 18.9°, 4.695 Å, I 27, (0 2 0); 2θ = 46.3°, 1.962 Å, I 25, (2 0 -4); 2θ = 34.3°, 2.617 Å, I 20, (2 2 -2); 2θ = 39.9°, 2.259 Å, I 19, (3 1 -2); 2θ = 48.3°, 1.883 Å, I 19, (2 4 -2)

Structural model:
Cell lengths 7.1095, 9.3905, 7.9224 Å; angles 90.00, 115.18, 90.00 degrees
Space group C2/c (No. 15)
One atom of each set of equivalent atoms:
K1 0.0000 0.1592 0.2500 x4
Ce1 0.0000 0.5000 0.0000 x4
C1 0.0000 0.1883 0.7500 x4
O1 0.0000 0.4285 0.2500 x4
O2 0.0657 0.2734 0.6392 x8
O3 0.1616 0.1012 0.8675 x8

***

(4)
For La6YHo3, a crystal structure in Alexandria, relaxed with PBE gives the computed powder X-ray diffraction pattern in this record (Cu Kα, 1.54184 Å).
Peak positions follow from Bragg's law for the DFT cell and can differ from measured ones.

The 10 most intense peaks (5° ≤ 2θ ≤ 70°), in order of falling intensity:
2θ = 31.7°, 2.820 Å, I 100, (0 0 2); 2θ = 27.6°, 3.228 Å, I 32, (2 2 1); 2θ = 28.0°, 3.186 Å, I 23, (1 3 1); 2θ = 32.0°, 2.797 Å, I 23, (2 3 1); 2θ = 32.7°, 2.739 Å, I 20, (0 4 1); 2θ = 56.5°, 1.628 Å, I 18, (3 1 3); 2θ = 34.1°, 2.626 Å, I 17, (3 3 0); 2θ = 29.8°, 2.994 Å, I 15, (1 4 0); 2θ = 44.1°, 2.052 Å, I 11, (1 4 2); 2θ = 54.3°, 1.688 Å, I 10, (6 0 0)

Structural model:
Cell lengths 10.1222, 12.5364, 5.6366 Å; angles 90.00, 90.00, 90.00 degrees
Space group Pbam (No. 55)
One atom of each set of equivalent atoms:
La1 0.0555 0.2203 0.0000 x4
La2 0.1804 0.6712 0.5000 x4
La3 0.1857 0.9821 0.0000 x4
Y1 0.0000 0.5000 0.0000 x2
Ho1 0.0000 0.0000 0.5000 x2
Ho2 0.1465 0.4029 0.5000 x4

***

(5)
For Ca3MnI8, a crystal structure in Alexandria, relaxed with PBE gives the computed powder X-ray diffraction pattern in this record (Cu Kα, 1.54184 Å).
Peak positions follow from Bragg's law for the DFT cell and can differ from measured ones.

The 10 most intense peaks (5° ≤ 2θ ≤ 70°), in order of falling intensity:
2θ = 24.3°, 3.656 Å, I 100, (2 2 0); 2θ = 27.7°, 3.216 Å, I 100, (2 2 -2); 2θ = 40.6°, 2.224 Å, I 53, (0 4 0); 2θ = 27.9°, 3.195 Å, I 50, (4 0 0); 2θ = 11.4°, 7.729 Å, I 38, (0 0 1); 2θ = 39.0°, 2.311 Å, I 35, (2 2 2); 2θ = 23.0°, 3.864 Å, I 35, (0 0 2); 2θ = 50.0°, 1.826 Å, I 18, (4 4 0); 2θ = 38.7°, 2.326 Å, I 17, (4 0 -4); 2θ = 47.0°, 1.933 Å, I 17, (0 0 4)

Structural model:
Cell lengths 15.4098, 8.8986, 9.3201 Å; angles 90.00, 123.98, 90.00 degrees
Space group C2/m (No. 12)
One atom of each set of equivalent atoms:
Ca1 0.0000 0.0000 0.0000 x2
Ca2 0.2500 0.2500 0.0000 x4
Mn1 0.0000 0.5000 0.0000 x2
I1 0.0033 0.2653 0.7783 x8
I2 0.2313 0.5000 0.2215 x4
I3 0.2453 0.0000 0.2328 x4

***

(6)
For BaCaZn2Pd2, a crystal structure in Alexandria, relaxed with PBE gives the computed powder X-ray diffraction pattern in this record (Cu Kα, 1.54184 Å).
Peak positions follow from Bragg's law for the DFT cell and can differ from measured ones.

The 10 most intense peaks (5° ≤ 2θ ≤ 70°), in order of falling intensity:
2θ = 31.5°, 2.836 Å, I 100, (0 1 2); 2θ = 40.1°, 2.248 Å, I 68, (1 1 0); 2θ = 25.3°, 3.523 Å, I 35, (1 0 1); 2θ = 60.8°, 1.523 Å, I 27, (1 1 4); 2θ = 52.5°, 1.743 Å, I 24, (1 1 3); 2θ = 51.9°, 1.762 Å, I 24, (2 0 2); 2θ = 67.6°, 1.387 Å, I 21, (1 2 2); 2θ = 32.4°, 2.760 Å, I 16, (0 0 3); 2θ = 21.5°, 4.140 Å, I 8, (0 0 2); 2θ = 43.7°, 2.070 Å, I 8, (0 0 4)

Structural model:
Cell lengths 4.4956, 4.4956, 8.2796 Å; angles 90.00, 90.00, 120.00 degrees
Space group P-3m1 (No. 164)
One atom of each set of equivalent atoms:
Ba1 0.0000 0.0000 0.0000 x1
Ca1 0.0000 0.0000 0.5000 x1
Zn1 0.3333 0.6667 0.2934 x2
Pd1 0.3333 0.6667 0.7109 x2

***

Question: Which formula does entry 5 have?
Answer: Ca3MnI8